(1)
This entry pairs a crystal structure of TlP2PbBrO with its computed PXRD pattern. Radiation: Cu Kα X-rays. Structure: a PBE-relaxed structure.
Kinematic intensities with the Lorentz-polarization factor, no thermal factor.

Largest 6 diffraction maxima, by angle, 2θ = 10–80°:
18.52°, I = 641; 27.32°, I = 573; 27.63°, I = 893; 31.14°, I = 1000; 32.14°, I = 880; 37.50°, I = 479

Cell: 4.7903 3.5894 8.8323 Å, 90.00 90.63 90.00°
Element x y z (fractional)
Tl 0.0000 0.0000 0.0000
P 0.3895 0.0000 0.7173
P 0.6912 0.5000 0.7232
Pb 0.0920 0.0000 0.4365
Br 0.4685 0.5000 0.2118
O 0.8375 0.5000 0.5595

(2)
This entry pairs a crystal structure of TlP2PbBrO with its computed PXRD pattern. Radiation: Cu Kα X-rays. Structure: a PBE-relaxed structure.
Kinematic intensities with the Lorentz-polarization factor, no thermal factor.

Largest 6 diffraction maxima, by angle, 2θ = 10–80°:
19.65°, I = 655; 22.42°, I = 662; 23.72°, I = 752; 27.20°, I = 627; 30.15°, I = 1000; 34.72°, I = 628

Cell: 8.4076 8.4076 4.8660 Å, 101.58 101.58 30.71°
Element x y z (fractional)
Tl 0.0000 0.0000 0.0000
P 0.3233 0.3233 0.0024
P 0.8100 0.8100 0.0989
Pb 0.2220 0.2220 0.4684
Br 0.5659 0.5659 0.5332
O 0.7871 0.7871 0.4008

(3)
This entry pairs a crystal structure of TlP2PbBrO with its computed PXRD pattern. Radiation: Cu Kα X-rays. Structure: a PBE-relaxed structure.
Kinematic intensities with the Lorentz-polarization factor, no thermal factor.

Largest 6 diffraction maxima, by angle, 2θ = 10–80°:
19.18°, I = 596; 20.02°, I = 714; 22.63°, I = 695; 32.31°, I = 1000; 35.18°, I = 489; 36.69°, I = 496

Cell: 3.5646 4.9144 9.1673 Å, 100.91 99.53 90.37°
Element x y z (fractional)
Tl 0.0000 0.0000 0.0000
P 0.4192 0.3520 0.7730
P 0.8492 0.2251 0.6042
Pb 0.1841 0.6968 0.4981
Br 0.6144 0.5914 0.2093
O 0.4207 0.6788 0.7931